Starting from a DFT-relaxed cell (GGA-PBE, Alexandria), the X-ray diffraction stick pattern of Dy3ZnRu3 was calculated for λ = 1.5418 Å (Cu Kα).
Peak positions follow from Bragg's law for the DFT cell and can differ from measured ones.

Unit cell a=4.2973 b=10.1794 c=13.2658 alpha=90.00 beta=90.00 gamma=90.00
Space group Cmcm (No. 63)
One atom of each set of equivalent atoms:
1 Dy 0.0000 0.0079 0.2500
2 Dy 0.0000 0.2959 0.1043
3 Zn 0.0000 0.0000 0.0000
4 Ru 0.0000 0.2851 0.7500
5 Ru 0.0000 0.4165 0.5929

Principal peaks in the range 2θ from 15° to 90°, sorted by position:
| 2θ (°) | I_rel | hkl |
| --- | --- | --- |
| 26.21 | 28 | 1 1 2 |
| 30.30 | 58 | 1 1 3 |
| 32.22 | 29 | 0 2 4 |
| 33.65 | 84 | 1 3 0 |
| 35.30 | 100 | 1 1 4 |
| 39.50 | 94 | 1 3 3 |
| 40.81 | 32 | 0 0 6 |
| 40.92 | 50 | 0 4 3 |
| 42.05 | 58 | 2 0 0 |
| 53.92 | 30 | 1 3 6 |
| 60.08 | 47 | 2 0 6 |
| 68.07 | 23 | 1 7 0 |



Starting from a DFT-relaxed cell (GGA-PBE, Alexandria), the X-ray diffraction stick pattern of Dy2Zn3Ru was calculated for λ = 1.5418 Å (Cu Kα).
Peak positions follow from Bragg's law for the DFT cell and can differ from measured ones.

Unit cell a=9.2350 b=5.3415 c=5.4413 alpha=90.00 beta=124.45 gamma=90.00
Space group C2/m (No. 12)
One atom of each set of equivalent atoms:
1 Dy 0.1278 0.0000 0.3828
2 Zn 0.0000 0.5000 0.0000
3 Zn 0.2500 0.2500 0.0000
4 Ru 0.0000 0.5000 0.5000

Principal peaks in the range 2θ from 15° to 90°, sorted by position:
| 2θ (°) | I_rel | hkl |
| --- | --- | --- |
| 32.92 | 39 | 1 1 1 |
| 33.59 | 56 | 0 2 0 |
| 38.71 | 45 | 1 1 -2 |
| 39.28 | 100 | 3 1 0 |
| 39.57 | 32 | 2 2 -1 |
| 41.31 | 24 | 4 0 -2 |
| 58.36 | 11 | 2 0 2 |
| 59.63 | 14 | 4 2 0 |
| 63.48 | 21 | 4 2 -3 |
| 63.89 | 23 | 6 0 -1 |
| 69.05 | 22 | 2 2 2 |
| 70.63 | 14 | 6 2 -2 |



Starting from a DFT-relaxed cell (GGA-PBE, Alexandria), the X-ray diffraction stick pattern of Dy2S was calculated for λ = 1.5418 Å (Cu Kα).
Peak positions follow from Bragg's law for the DFT cell and can differ from measured ones.

Unit cell a=13.1826 b=3.8149 c=6.2404 alpha=90.00 beta=90.00 gamma=90.00
Space group Pnma (No. 62)
One atom of each set of equivalent atoms:
1 Dy 0.0405 0.2500 0.2379
2 Dy 0.2072 0.2500 0.7511
3 S 0.1231 0.7500 0.4956

Principal peaks in the range 2θ from 15° to 90°, sorted by position:
| 2θ (°) | I_rel | hkl |
| --- | --- | --- |
| 27.02 | 14 | 4 0 0 |
| 28.61 | 21 | 0 0 2 |
| 30.65 | 100 | 4 0 1 |
| 39.76 | 24 | 4 0 2 |
| 47.74 | 24 | 0 2 0 |
| 51.97 | 22 | 4 0 3 |
| 56.55 | 6 | 0 2 2 |
| 56.63 | 13 | 6 1 2 |
| 57.77 | 11 | 4 2 1 |
| 73.22 | 8 | 8 0 3 |
| 78.20 | 9 | 10 1 1 |
| 79.39 | 10 | 0 2 4 |



Starting from a DFT-relaxed cell (GGA-PBE, Alexandria), the X-ray diffraction stick pattern of Dy2S3 was calculated for λ = 1.5418 Å (Cu Kα).
Peak positions follow from Bragg's law for the DFT cell and can differ from measured ones.

Unit cell a=7.3110 b=3.8888 c=15.1996 alpha=90.00 beta=90.00 gamma=90.00
Space group Pnma (No. 62)
One atom of each set of equivalent atoms:
1 Dy 0.1414 0.2500 0.2046
2 Dy 0.2336 0.7500 0.4574
3 S 0.0100 0.2500 0.3922
4 S 0.1232 0.7500 0.0677
5 S 0.1501 0.2500 0.7818

Principal peaks in the range 2θ from 15° to 90°, sorted by position:
| 2θ (°) | I_rel | hkl |
| --- | --- | --- |
| 24.35 | 29 | 2 0 0 |
| 25.05 | 41 | 2 0 1 |
| 26.43 | 77 | 1 0 4 |
| 26.62 | 100 | 1 1 1 |
| 28.94 | 52 | 0 1 3 |
| 35.72 | 70 | 2 1 2 |
| 37.56 | 26 | 0 1 5 |
| 38.17 | 32 | 2 1 3 |
| 39.60 | 46 | 1 1 5 |
| 46.72 | 32 | 0 2 0 |
| 54.47 | 26 | 1 2 4 |
| 71.42 | 22 | 5 1 3 |